Record 1
Ho3Tl3Cd: theoretical powder X-ray diffraction pattern (Cu Kα (weighted mean of Kα1 and Kα2)), based on the GGA-PBE geometry in Alexandria.
Peak positions follow from Bragg's law for the DFT cell and can differ from measured ones.

Largest 12 diffraction maxima, in order of falling intensity, 2θ from 5° to 70°:
2θ 30.55, rel. 100
2θ 36.47, rel. 84
2θ 38.35, rel. 51
2θ 31.30, rel. 50
2θ 29.65, rel. 44
2θ 35.00, rel. 28
2θ 50.30, rel. 27
2θ 37.96, rel. 23
2θ 38.69, rel. 18
2θ 30.18, rel. 17
2θ 44.56, rel. 16
2θ 55.06, rel. 16

Cell and atoms:
```
data_Ho3Tl3Cd
_space_group_name_H-M_alt 'C 1 2/m 1'
_space_group_IT_number 12
_cell_length_a 11.467
_cell_length_b 4.695
_cell_length_c 14.968
_cell_angle_alpha 90.00
_cell_angle_beta 108.04
_cell_angle_gamma 90.00
loop_
_space_group_symop_operation_xyz
'x,y,z'
'-x,-y,-z'
'-x,y,-z'
'x,-y,z'
'x+1/2,y+1/2,z'
'-x+1/2,-y+1/2,-z'
'-x+1/2,y+1/2,-z'
'x+1/2,-y+1/2,z'
loop_
_atom_site_label
_atom_site_type_symbol
_atom_site_fract_x
_atom_site_fract_y
_atom_site_fract_z
Ho1 Ho 0.030 0.000 0.378
Ho2 Ho 0.099 0.000 0.923
Ho3 Ho 0.227 0.000 0.217
Tl1 Tl 0.002 0.500 0.227
Tl2 Tl 0.127 0.500 0.073
Tl3 Tl 0.138 0.500 0.540
Cd1 Cd 0.239 0.500 0.371
```


Record 2
Ac2TbRuO8: theoretical powder X-ray diffraction pattern (Cu Kα (weighted mean of Kα1 and Kα2)), based on the GGA-PBE geometry in Alexandria.
Peak positions follow from Bragg's law for the DFT cell and can differ from measured ones.

Largest 12 diffraction maxima, in order of falling intensity, 2θ from 5° to 70°:
2θ 29.50, rel. 100
2θ 23.88, rel. 83
2θ 27.00, rel. 60
2θ 31.69, rel. 58
2θ 44.07, rel. 44
2θ 47.79, rel. 30
2θ 32.41, rel. 27
2θ 39.95, rel. 26
2θ 48.68, rel. 24
2θ 52.15, rel. 21
2θ 56.03, rel. 16
2θ 56.53, rel. 16

Cell and atoms:
```
data_Ac2TbRuO8
_space_group_name_H-M_alt 'P 1 2/m 1'
_space_group_IT_number 10
_cell_length_a 4.547
_cell_length_b 7.240
_cell_length_c 5.566
_cell_angle_alpha 90.00
_cell_angle_beta 97.03
_cell_angle_gamma 90.00
loop_
_space_group_symop_operation_xyz
'x,y,z'
'-x,-y,-z'
'-x,y,-z'
'x,-y,z'
loop_
_atom_site_label
_atom_site_type_symbol
_atom_site_fract_x
_atom_site_fract_y
_atom_site_fract_z
Ac1 Ac 0.000 0.242 0.000
Tb1 Tb 0.500 0.500 0.500
Ru1 Ru 0.500 0.000 0.500
O1 O 0.078 0.500 0.254
O2 O 0.122 0.000 0.344
O3 O 0.427 0.209 0.722
```